1.
Computed powder diffractogram
Compound: LiCa3F7
Radiation: CuKα
Structure: a structure optimized by DFT (PBE)
No peak broadening, texture or thermal motion is included.

abc: 6.5399 6.5399 7.5472
angles: 90.00 90.00 108.16
Fractional coordinates of all 22 atoms:
Li 0.0048 0.0048 0.0000
Li 0.9952 0.9952 0.5000
Ca 0.0023 0.5459 0.7500
Ca 0.4541 0.9977 0.7500
Ca 0.4987 0.4987 0.5000
Ca 0.5013 0.5013 0.0000
Ca 0.5459 0.0023 0.2500
Ca 0.9977 0.4541 0.2500
F 0.0864 0.9136 0.7500
F 0.1064 0.3552 0.9751
F 0.1069 0.3567 0.5243
F 0.3552 0.1064 0.0249
F 0.3567 0.1069 0.4757
F 0.3650 0.6350 0.2500
F 0.3689 0.6311 0.7500
F 0.6311 0.3689 0.2500
F 0.6350 0.3650 0.7500
F 0.6433 0.8931 0.9757
F 0.6448 0.8936 0.5249
F 0.8931 0.6433 0.0243
F 0.8936 0.6448 0.4751
F 0.9136 0.0864 0.2500

Principal peaks in the range 10 to 90 degrees two-theta, by angle:
2θ/deg	Rel. int.
14.25	283
18.49	99
23.18	78
28.73	568
29.06	499
36.12	89
36.77	158
47.39	219
48.22	1000
56.55	105
57.11	138
69.93	98

***

2.
Computed powder diffractogram
Compound: Pm3TmS4
Radiation: CuKα
Structure: a structure optimized by DFT (PBE)
No peak broadening, texture or thermal motion is included.

abc: 5.6440 5.6440 5.6440
angles: 90.00 90.00 90.00
Fractional coordinates of all 8 atoms:
Pm 0.0000 0.0000 0.5000
Pm 0.0000 0.5000 0.0000
Pm 0.5000 0.0000 0.0000
Tm 0.5000 0.5000 0.5000
S 0.0000 0.0000 0.0000
S 0.0000 0.5000 0.5000
S 0.5000 0.0000 0.5000
S 0.5000 0.5000 0.0000

Principal peaks in the range 10 to 90 degrees two-theta, by angle:
2θ/deg	Rel. int.
27.37	782
31.71	1000
45.45	723
53.88	386
56.48	251
66.24	116
73.08	156
75.30	321
84.00	246

***

3.
Computed powder diffractogram
Compound: SrNb2Ga2
Radiation: CuKα
Structure: a structure optimized by DFT (PBE)
No peak broadening, texture or thermal motion is included.

abc: 8.3754 8.3754 2.9319
angles: 90.00 90.00 90.00
Fractional coordinates of all 10 atoms:
Sr 0.0000 0.0000 0.0000
Sr 0.5000 0.5000 0.0000
Nb 0.1174 0.3826 0.5000
Nb 0.3826 0.8826 0.5000
Nb 0.6174 0.1174 0.5000
Nb 0.8826 0.6174 0.5000
Ga 0.1726 0.6726 0.0000
Ga 0.3274 0.1726 0.0000
Ga 0.6726 0.8274 0.0000
Ga 0.8274 0.3274 0.0000

Principal peaks in the range 10 to 90 degrees two-theta, by angle:
2θ/deg	Rel. int.
14.96	124
30.18	170
33.84	781
34.12	340
38.77	253
39.01	1000
44.61	130
50.10	166
53.80	172
68.26	120
73.41	213
73.89	154

***

4.
Computed powder diffractogram
Compound: Ac2PmNdTm
Radiation: CuKα
Structure: a structure optimized by DFT (PBE)
No peak broadening, texture or thermal motion is included.

abc: 6.4745 8.8526 6.8294
angles: 90.00 90.00 90.00
Fractional coordinates of all 10 atoms:
Ac 0.2500 0.2070 0.2119
Ac 0.2500 0.7930 0.2119
Ac 0.7500 0.2070 0.7881
Ac 0.7500 0.7930 0.7881
Pm 0.2500 0.0000 0.6838
Pm 0.7500 0.0000 0.3162
Nd 0.2500 0.5000 0.9130
Nd 0.7500 0.5000 0.0870
Tm 0.0000 0.5000 0.5000
Tm 0.5000 0.5000 0.5000

Principal peaks in the range 10 to 90 degrees two-theta, by angle:
2θ/deg	Rel. int.
18.89	172
27.55	242
27.69	1000
28.01	281
31.29	187
32.23	213
33.13	218
35.95	266
38.31	225
43.57	180
48.80	217
53.38	151